Calculated PXRD pattern of ZrHI3 for λ = 1.5418 Å (Cu Kα), from the PBE geometry in OQMD.
No peak broadening, texture or thermal motion is included.

Cell and atoms:
```
data_ZrHI3
_symmetry_space_group_name_H-M 'I m a 2'
_symmetry_Int_Tables_number 46
_cell_length_a 14.2400
_cell_length_b 9.8128
_cell_length_c 6.4586
_cell_angle_alpha 90.00
_cell_angle_beta 90.00
_cell_angle_gamma 90.00
loop_
_symmetry_equiv_pos_as_xyz
'x,y,z'
'-x,-y,z'
'-x+1/2,y,z'
'x+1/2,-y,z'
'x+1/2,y+1/2,z+1/2'
'-x+1/2,-y+1/2,z+1/2'
'-x,y+1/2,z+1/2'
'x,-y+1/2,z+1/2'
loop_
_atom_site_label
_atom_site_type_symbol
_atom_site_fract_x
_atom_site_fract_y
_atom_site_fract_z
_atom_site_occupancy
Zr1 Zr 0.2500 0.1785 0.0000 1
H1 H 0.2500 0.1675 0.6984 1
I1 I 0.1093 0.1362 0.3302 1
I2 I 0.2500 0.5956 0.4112 1
```

Principal peaks in the range 2θ = 10–80°, by angle:
- 2θ 10.95, rel. 100
- 2θ 12.43, rel. 61
- 2θ 20.66, rel. 72
- 2θ 23.61, rel. 93
- 2θ 27.62, rel. 33
- 2θ 30.07, rel. 76
- 2θ 33.23, rel. 43
- 2θ 34.82, rel. 42
- 2θ 39.95, rel. 36
- 2θ 46.50, rel. 34